Diffraction record for LiVSiCO7. The powder X-ray diffraction pattern is simulated, not measured: it uses a cell relaxed with GGA+U and CuKα.
Intensities are scaled so that the largest is 100.

a = 5.5978 Å, b = 6.3329 Å, c = 8.6539 Å
α = 90.00°, β = 94.19°, γ = 90.00°
Space group P2_1 (No. 4)
Unique sites:
Li1 0.2469 0.0000 0.3280 [2 per cell]
V1 0.2076 0.6320 0.8384 [2 per cell]
Si1 0.2636 0.1312 0.9496 [2 per cell]
C1 0.2624 0.6701 0.5589 [2 per cell]
O1 0.0541 0.6422 0.6211 [2 per cell]
O2 0.1090 0.1220 0.1032 [2 per cell]
O3 0.2015 0.9210 0.8455 [2 per cell]
O4 0.2047 0.3387 0.8426 [2 per cell]
O5 0.2911 0.7251 0.4254 [2 per cell]
O6 0.4374 0.6387 0.6703 [2 per cell]
O7 0.4506 0.6300 0.9890 [2 per cell]

Largest 10 diffraction maxima, low angle first, 10° ≤ 2θ ≤ 90°:
2θ (°)	intensity	hkl
10.25	100.0	0 0 1
17.37	89.4	0 1 1
18.28	42.3	1 0 -1
19.56	47.0	1 0 1
21.22	23.3	1 1 0
24.12	28.3	1 1 1
25.14	38.5	1 0 -2
28.18	53.7	0 2 0
32.06	15.9	2 0 0
38.94	13.2	1 1 3